Computed XRD peak list
Compound: Cs3CaPd2F9
Radiation: CuKα
Structure: a cell relaxed with PBE
Neutral-atom scattering factors, no anomalous dispersion.

Main lines, by angle (2θ = 5–70°):
2theta	intensity
11.4	2
16.2	2
19.9	2
28.2	100
34.8	11
40.4	37
50.0	41
58.4	23
66.1	18
69.8	4

Lattice parameters (Å, degrees): 6.322 6.322 7.741 90.00 90.00 120.00
Atoms (fractional coordinates):
Cs 0.000 0.000 0.000
Cs 0.333 0.667 0.668
Cs 0.667 0.333 0.332
Ca 0.000 0.000 0.500
Pd 0.333 0.667 0.158
Pd 0.667 0.333 0.842
F 0.000 0.500 0.000
F 0.168 0.337 0.328
F 0.168 0.832 0.328
F 0.337 0.168 0.672
F 0.500 0.000 0.000
F 0.500 0.500 0.000
F 0.663 0.832 0.328
F 0.832 0.168 0.672
F 0.832 0.663 0.672

Computed XRD peak list
Compound: Cs3Rb3CaF8
Radiation: CuKα
Structure: a cell relaxed with PBE
Neutral-atom scattering factors, no anomalous dispersion.

Main lines, by angle (2θ = 5–70°):
2theta	intensity
13.3	17
15.3	21
26.1	24
26.8	64
30.9	100
43.7	33
44.7	33
51.7	13
52.5	24
55.3	16

Lattice parameters (Å, degrees): 8.281 8.281 8.281 58.69 58.69 58.69
Atoms (fractional coordinates):
Cs 0.000 0.500 0.500
Cs 0.500 0.000 0.500
Cs 0.500 0.500 0.000
Rb 0.000 0.000 0.500
Rb 0.000 0.500 0.000
Rb 0.500 0.000 0.000
Ca 0.500 0.500 0.500
F 0.244 0.244 0.244
F 0.292 0.700 0.700
F 0.300 0.300 0.708
F 0.300 0.708 0.300
F 0.700 0.292 0.700
F 0.700 0.700 0.292
F 0.708 0.300 0.300
F 0.756 0.756 0.756

Computed XRD peak list
Compound: Cs2RbCaF5
Radiation: CuKα
Structure: a cell relaxed with PBE
Neutral-atom scattering factors, no anomalous dispersion.

Main lines, by angle (2θ = 5–70°):
2theta	intensity
23.1	20
25.3	14
26.7	23
27.1	100
34.1	15
37.1	28
37.7	22
40.3	17
47.4	22
55.9	16

Lattice parameters (Å, degrees): 8.117 8.117 8.117 148.02 131.35 59.41
Atoms (fractional coordinates):
Cs 0.216 0.216 0.000
Cs 0.784 0.784 0.000
Rb 0.500 0.000 0.500
Ca 0.000 0.500 0.500
F 0.000 0.000 0.000
F 0.123 0.384 0.739
F 0.355 0.616 0.739
F 0.645 0.384 0.261
F 0.877 0.616 0.261

Computed XRD peak list
Compound: Cs2CaSnF6
Radiation: CuKα
Structure: a cell relaxed with PBE
Neutral-atom scattering factors, no anomalous dispersion.

Main lines, by angle (2θ = 5–70°):
2theta	intensity
9.4	4
21.2	6
26.8	100
33.0	12
38.3	38
47.4	42
55.3	25
62.5	6
62.6	13
69.3	8

Lattice parameters (Å, degrees): 4.694 4.694 9.407 90.00 90.00 90.00
Atoms (fractional coordinates):
Cs 0.000 0.000 0.243
Cs 0.000 0.000 0.757
Ca 0.500 0.500 0.000
Sn 0.500 0.500 0.500
F 0.000 0.500 0.000
F 0.000 0.500 0.500
F 0.500 0.000 0.000
F 0.500 0.000 0.500
F 0.500 0.500 0.240
F 0.500 0.500 0.760

Computed XRD peak list
Compound: Cs3Ca2TlF9
Radiation: CuKα
Structure: a cell relaxed with PBE
Neutral-atom scattering factors, no anomalous dispersion.

Main lines, by angle (2θ = 5–70°):
2theta	intensity
11.0	7
15.6	10
19.1	7
27.1	100
29.3	5
33.3	10
38.7	37
47.9	43
55.9	24
63.2	20

Lattice parameters (Å, degrees): 6.580 6.580 8.074 90.00 90.00 120.00
Atoms (fractional coordinates):
Cs 0.000 0.000 0.000
Cs 0.333 0.667 0.662
Cs 0.667 0.333 0.338
Ca 0.333 0.667 0.157
Ca 0.667 0.333 0.843
Tl 0.000 0.000 0.500
F 0.000 0.500 0.000
F 0.173 0.345 0.325
F 0.173 0.827 0.325
F 0.345 0.173 0.675
F 0.500 0.000 0.000
F 0.500 0.500 0.000
F 0.655 0.827 0.325
F 0.827 0.173 0.675
F 0.827 0.655 0.675

Computed XRD peak list
Compound: Cs3CaZn2F9
Radiation: CuKα
Structure: a cell relaxed with PBE
Neutral-atom scattering factors, no anomalous dispersion.

Main lines, by angle (2θ = 5–70°):
2theta	intensity
11.7	1
20.3	9
28.8	100
35.5	21
41.2	39
46.3	5
51.1	40
59.7	24
63.7	3
67.6	18

Lattice parameters (Å, degrees): 6.193 6.193 7.592 90.00 90.00 120.00
Atoms (fractional coordinates):
Cs 0.000 0.000 0.000
Cs 0.333 0.667 0.672
Cs 0.667 0.333 0.328
Ca 0.000 0.000 0.500
Zn 0.333 0.667 0.161
Zn 0.667 0.333 0.839
F 0.000 0.500 0.000
F 0.174 0.349 0.323
F 0.174 0.826 0.323
F 0.349 0.174 0.677
F 0.500 0.000 0.000
F 0.500 0.500 0.000
F 0.651 0.826 0.323
F 0.826 0.174 0.677
F 0.826 0.651 0.677

Computed XRD peak list
Compound: CsCaGa2H8
Radiation: CuKα
Structure: a cell relaxed with PBE
Neutral-atom scattering factors, no anomalous dispersion.

Main lines, by angle (2θ = 5–70°):
2theta	intensity
20.8	15
24.9	100
27.1	17
35.2	34
35.9	40
44.2	21
51.2	11
57.2	12
58.2	18
64.1	11

Lattice parameters (Å, degrees): 8.896 8.896 8.896 32.66 32.66 32.66
Atoms (fractional coordinates):
Cs 0.000 0.000 0.000
Ca 0.500 0.500 0.500
Ga 0.237 0.237 0.237
Ga 0.763 0.763 0.763
H 0.063 0.452 0.833
H 0.167 0.937 0.548
H 0.300 0.300 0.300
H 0.452 0.833 0.063
H 0.548 0.167 0.937
H 0.700 0.700 0.700
H 0.833 0.063 0.452
H 0.937 0.548 0.167

Computed XRD peak list
Compound: CsCa2Ge
Radiation: CuKα
Structure: a cell relaxed with PBE
Neutral-atom scattering factors, no anomalous dispersion.

Main lines, by angle (2θ = 5–70°):
2theta	intensity
19.4	100
20.1	46
23.4	20
33.5	25
34.7	46
39.3	32
40.8	14
52.3	14
53.7	13
54.6	15

Lattice parameters (Å, degrees): 9.182 9.182 9.182 122.34 122.34 85.99
Atoms (fractional coordinates):
Cs 0.375 0.625 0.750
Cs 0.625 0.375 0.250
Ca 0.000 0.000 0.000
Ca 0.000 0.000 0.500
Ca 0.000 0.500 0.000
Ca 0.500 0.000 0.500
Ge 0.125 0.875 0.250
Ge 0.875 0.125 0.750